Theoretical XRD peak list of La2Tb5Pm6 for Cu Kα, 1.54184 Å, from the GGA-PBE geometry in Alexandria.

Crystal structure
```
La2Tb5Pm6
1.0
11.8960 0.0000 0.0000
0.0000 20.6261 0.0000
0.0000 0.0000 3.6595
La Tb Pm
4 10 12
Direct
0.1688 0.2184 0.0000 La
0.3312 0.7184 0.0000 La
0.6688 0.2816 0.0000 La
0.8312 0.7816 0.0000 La
0.0000 0.5000 0.5000 Tb
0.0925 0.7800 0.5000 Tb
0.1998 0.0551 0.5000 Tb
0.3001 0.5551 0.5000 Tb
0.4075 0.2800 0.5000 Tb
0.5000 0.0000 0.5000 Tb
0.5925 0.7200 0.5000 Tb
0.6998 0.4449 0.5000 Tb
0.8002 0.9449 0.5000 Tb
0.9075 0.2200 0.5000 Tb
0.0601 0.9241 0.0000 Pm
0.0781 0.6363 0.0000 Pm
0.1790 0.3753 0.5000 Pm
0.3210 0.8753 0.5000 Pm
0.4219 0.1363 0.0000 Pm
0.4399 0.4241 0.0000 Pm
0.5601 0.5759 0.0000 Pm
0.5781 0.8637 0.0000 Pm
0.6790 0.1247 0.5000 Pm
0.8210 0.6247 0.5000 Pm
0.9219 0.3637 0.0000 Pm
0.9399 0.0759 0.0000 Pm
```

Main lines, most intense first (10° ≤ 2θ ≤ 80°):
d = 2.839 Å, I 100
d = 2.860 Å, I 97
d = 2.944 Å, I 57
d = 2.895 Å, I 46
d = 2.667 Å, I 41
d = 1.541 Å, I 30
d = 1.652 Å, I 29
d = 2.598 Å, I 28

=====

Theoretical XRD peak list of LaTb7Pm3 for Cu Kα, 1.54184 Å, from the GGA-PBE geometry in Alexandria.

Crystal structure
```
LaTb7Pm3
1.0
7.0206 0.0000 0.0000
0.0000 5.6022 0.0000
-3.3843 0.0000 9.4704
La Tb Pm
1 7 3
Direct
0.0000 0.0000 0.0000 La
0.0000 0.0000 0.5000 Tb
0.1444 0.5000 0.7882 Tb
0.3238 0.5000 0.1399 Tb
0.4209 0.0000 0.3305 Tb
0.5791 0.0000 0.6695 Tb
0.6762 0.5000 0.8601 Tb
0.8556 0.5000 0.2118 Tb
0.2811 0.5000 0.4982 Pm
0.5000 0.0000 0.0000 Pm
0.7189 0.5000 0.5018 Pm
```

Main lines, most intense first (10° ≤ 2θ ≤ 80°):
d = 2.849 Å, I 100
d = 2.801 Å, I 86
d = 2.750 Å, I 67
d = 2.829 Å, I 62
d = 1.488 Å, I 33
d = 2.877 Å, I 31
d = 1.607 Å, I 26
d = 2.838 Å, I 20

=====

Theoretical XRD peak list of La3TbPm4 for Cu Kα, 1.54184 Å, from the GGA-PBE geometry in Alexandria.

Crystal structure
```
La3TbPm4
1.0
7.3474 0.0000 0.0000
0.0000 10.4161 0.0000
0.0000 0.0000 7.3179
La Tb Pm
6 2 8
Direct
0.0000 0.0000 0.0000 La
0.0000 0.5000 0.0000 La
0.2500 0.2500 0.2538 La
0.5000 0.0000 0.0000 La
0.5000 0.5000 0.0000 La
0.7500 0.7500 0.7462 La
0.2500 0.2500 0.7481 Tb
0.7500 0.7500 0.2519 Tb
0.0000 0.0000 0.5000 Pm
0.0000 0.5000 0.5000 Pm
0.2500 0.7500 0.2526 Pm
0.2500 0.7500 0.7470 Pm
0.5000 0.0000 0.5000 Pm
0.5000 0.5000 0.5000 Pm
0.7500 0.2500 0.2530 Pm
0.7500 0.2500 0.7474 Pm
```

Main lines, most intense first (10° ≤ 2θ ≤ 80°):
d = 2.998 Å, I 100
d = 2.592 Å, I 34
d = 1.837 Å, I 30
d = 2.604 Å, I 17
d = 1.569 Å, I 15
d = 1.566 Å, I 14
d = 1.562 Å, I 14
d = 1.501 Å, I 6